For LiMgInHg, a structure optimized by DFT (GGA-PBE) gives the computed X-ray powder pattern in this record (Cu Kα (λ = 1.5418 Å)).

```
data_LiMgInHg
_chemical_formula_sum 'Li1 Mg1 In1 Hg1'
_space_group_name_H-M_alt 'P 1'
_space_group_IT_number 1
_space_group_name_Hall 'P 1'
_cell_length_a 5.1261
_cell_length_b 5.1261
_cell_length_c 5.1261
_cell_angle_alpha 126.69
_cell_angle_beta 126.69
_cell_angle_gamma 78.76
loop_
_atom_site_label
_atom_site_type_symbol
_atom_site_fract_x
_atom_site_fract_y
_atom_site_fract_z
Li1 Li 0.0000 0.0000 0.0000
Mg1 Mg 0.5000 0.5000 0.0000
In1 In 0.2500 0.7500 0.5000
Hg1 Hg 0.7500 0.2500 0.5000
```

Most intense lines, 2θ = 10–90°, by angle:
2θ (°)  Rel. int.
22.42  73
27.42  67
35.72  100
39.17  39
45.60  41
54.21  21
56.60  13
61.65  15
61.81  20
64.02  12
68.75  29
82.23  13